No. 1
Computed powder XRD pattern
Compound: GdMgAl4
Radiation: λ = 1.5418 Å (Cu Kα)
Structure: the GGA-PBE geometry in Alexandria
Peak positions follow from Bragg's law for the DFT cell and can differ from measured ones.

Top 12 peaks for 2θ = 15–90°, by angle:
19.69°, rel. 57.9; 22.77°, rel. 37.7; 32.43°, rel. 61.7; 38.22°, rel. 100.0; 39.99°, rel. 20.1; 50.97°, rel. 14.7; 52.40°, rel. 16.6; 57.84°, rel. 23.5; 61.72°, rel. 32.5; 67.89°, rel. 18.2; 71.47°, rel. 10.8; 80.68°, rel. 11.3

Structural model:
Unit cell a=5.5221 b=5.5221 c=5.5221 alpha=60.00 beta=60.00 gamma=60.00
Element x y z (fractional)
Gd 0.0000 0.0000 0.0000
Mg 0.7500 0.7500 0.7500
Al 0.3746 0.3746 0.3746
Al 0.3746 0.3746 0.8762
Al 0.3746 0.8762 0.3746
Al 0.8762 0.3746 0.3746


No. 2
Computed powder XRD pattern
Compound: Gd3MgAlS7
Radiation: λ = 1.5418 Å (Cu Kα)
Structure: the GGA-PBE geometry in Alexandria
Peak positions follow from Bragg's law for the DFT cell and can differ from measured ones.

Top 12 peaks for 2θ = 15–90°, by angle:
17.73°, rel. 52.6; 20.92°, rel. 21.8; 23.14°, rel. 25.2; 25.44°, rel. 100.0; 27.79°, rel. 32.9; 34.85°, rel. 42.5; 35.91°, rel. 34.5; 36.66°, rel. 30.4; 40.49°, rel. 43.7; 41.00°, rel. 30.1; 49.06°, rel. 45.7; 51.47°, rel. 27.2

Structural model:
Unit cell a=9.8066 b=9.8066 c=6.1893 alpha=90.00 beta=90.00 gamma=120.00
Element x y z (fractional)
Gd 0.1507 0.7709 0.0000
Gd 0.2291 0.3798 0.0000
Gd 0.3798 0.1507 0.5000
Gd 0.6202 0.8493 0.0000
Gd 0.7709 0.6202 0.5000
Gd 0.8493 0.2291 0.5000
Mg 0.0000 0.0000 0.1757
Mg 0.0000 0.0000 0.6757
Al 0.3333 0.6667 0.5779
Al 0.6667 0.3333 0.0779
S 0.0941 0.5201 0.7322
S 0.1027 0.8606 0.4156
S 0.1394 0.2421 0.4156
S 0.2421 0.1027 0.9156
S 0.3333 0.6667 0.2145
S 0.4260 0.9059 0.7322
S 0.4799 0.5740 0.7322
S 0.5201 0.4260 0.2322
S 0.5740 0.0941 0.2322
S 0.6667 0.3333 0.7145
S 0.7579 0.8973 0.4156
S 0.8606 0.7579 0.9156
S 0.8973 0.1394 0.9156
S 0.9059 0.4799 0.2322


No. 3
Computed powder XRD pattern
Compound: GdAl9Ni3
Radiation: λ = 1.5418 Å (Cu Kα)
Structure: the GGA-PBE geometry in Alexandria
Peak positions follow from Bragg's law for the DFT cell and can differ from measured ones.

Top 12 peaks for 2θ = 15–90°, by angle:
24.37°, rel. 44.5; 26.26°, rel. 33.5; 31.32°, rel. 90.3; 38.41°, rel. 77.5; 39.32°, rel. 24.1; 42.88°, rel. 100.0; 46.80°, rel. 19.7; 54.05°, rel. 19.1; 58.92°, rel. 20.5; 59.58°, rel. 32.0; 71.35°, rel. 20.1; 75.58°, rel. 24.9

Structural model:
Unit cell a=10.0891 b=10.0891 c=10.0891 alpha=42.45 beta=42.45 gamma=42.45
Element x y z (fractional)
Gd 0.1668 0.1668 0.1668
Gd 0.8332 0.8332 0.8332
Al 0.0000 0.6656 0.3344
Al 0.0519 0.0519 0.0519
Al 0.1025 0.4317 0.7610
Al 0.2390 0.5683 0.8975
Al 0.2817 0.2817 0.2817
Al 0.2926 0.7074 0.5000
Al 0.3344 0.0000 0.6656
Al 0.3870 0.3870 0.3870
Al 0.4317 0.7610 0.1025
Al 0.5000 0.2926 0.7074
Al 0.5683 0.8975 0.2390
Al 0.6130 0.6130 0.6130
Al 0.6656 0.3344 0.0000
Al 0.7074 0.5000 0.2926
Al 0.7183 0.7183 0.7183
Al 0.7610 0.1025 0.4317
Al 0.8975 0.2390 0.5683
Al 0.9481 0.9481 0.9481
Ni 0.0784 0.7579 0.4181
Ni 0.2421 0.9216 0.5819
Ni 0.4181 0.0784 0.7579
Ni 0.5819 0.2421 0.9216
Ni 0.7579 0.4181 0.0784
Ni 0.9216 0.5819 0.2421


No. 4
Computed powder XRD pattern
Compound: GdAl3Pb2O8
Radiation: λ = 1.5418 Å (Cu Kα)
Structure: the GGA-PBE geometry in Alexandria
Peak positions follow from Bragg's law for the DFT cell and can differ from measured ones.

Top 12 peaks for 2θ = 15–90°, by angle:
18.53°, rel. 20.4; 27.95°, rel. 100.0; 29.50°, rel. 75.9; 30.97°, rel. 67.9; 38.77°, rel. 21.9; 39.94°, rel. 46.0; 48.47°, rel. 28.9; 49.46°, rel. 36.7; 54.18°, rel. 39.6; 55.09°, rel. 25.2; 55.99°, rel. 22.2; 62.06°, rel. 19.0

Structural model:
Unit cell a=9.5759 b=9.5759 c=9.5759 alpha=90.00 beta=90.00 gamma=90.00
Element x y z (fractional)
Gd 0.0000 0.0000 0.0000
Gd 0.0000 0.5000 0.5000
Gd 0.5000 0.0000 0.5000
Gd 0.5000 0.5000 0.0000
Al 0.0000 0.2500 0.7500
Al 0.0000 0.7500 0.2500
Al 0.2500 0.0000 0.7500
Al 0.2500 0.5000 0.7500
Al 0.2500 0.7500 0.0000
Al 0.2500 0.7500 0.5000
Al 0.5000 0.2500 0.7500
Al 0.5000 0.7500 0.2500
Al 0.7500 0.0000 0.2500
Al 0.7500 0.2500 0.0000
Al 0.7500 0.2500 0.5000
Al 0.7500 0.5000 0.2500
Pb 0.1164 0.1164 0.3836
Pb 0.1164 0.3836 0.1164
Pb 0.3836 0.1164 0.1164
Pb 0.3836 0.3836 0.3836
Pb 0.6164 0.6164 0.6164
Pb 0.6164 0.8836 0.8836
Pb 0.8836 0.6164 0.8836
Pb 0.8836 0.8836 0.6164
O 0.0923 0.0923 0.7642
O 0.0923 0.4077 0.7358
O 0.0923 0.7358 0.4077
O 0.0923 0.7642 0.0923
O 0.1385 0.1385 0.1385
O 0.1385 0.3615 0.3615
O 0.2358 0.5923 0.5923
O 0.2358 0.9077 0.9077
O 0.2642 0.5923 0.9077
O 0.2642 0.9077 0.5923
O 0.3615 0.1385 0.3615
O 0.3615 0.3615 0.1385
O 0.4077 0.0923 0.7358
O 0.4077 0.4077 0.7642
O 0.4077 0.7358 0.0923
O 0.4077 0.7642 0.4077
O 0.5923 0.2358 0.5923
O 0.5923 0.2642 0.9077
O 0.5923 0.5923 0.2358
O 0.5923 0.9077 0.2642
O 0.6385 0.6385 0.8615
O 0.6385 0.8615 0.6385
O 0.7358 0.0923 0.4077
O 0.7358 0.4077 0.0923
O 0.7642 0.0923 0.0923
O 0.7642 0.4077 0.4077
O 0.8615 0.6385 0.6385
O 0.8615 0.8615 0.8615
O 0.9077 0.2358 0.9077
O 0.9077 0.2642 0.5923
O 0.9077 0.5923 0.2642
O 0.9077 0.9077 0.2358